(1)
For Sm6Th4O17, a cell relaxed with GGA-PBE gives the calculated powder diffraction line list in this record (CuKα).
Kinematic intensities with the Lorentz-polarization factor, no thermal factor.

Top 10 peaks for 2θ from 10° to 90°, by angle:
Position (°2θ)	Rel. int.
27.1	365
27.9	1000
32.1	488
45.5	328
46.5	340
53.8	155
54.7	309
55.1	154
74.9	125
85.6	106

Atomic structure:
```
Sm6Th4O17
1.0
1.952 1.127 32.902
-1.952 1.127 32.902
0.000 -2.254 32.902
Sm Th O
6 4 17
Direct
0.000 0.000 0.000
0.098 0.098 0.098
0.298 0.298 0.298
0.400 0.400 0.400
0.698 0.698 0.698
0.800 0.800 0.800
0.198 0.198 0.198
0.498 0.498 0.498
0.598 0.598 0.598
0.898 0.898 0.898
0.026 0.026 0.026
0.074 0.074 0.074
0.120 0.120 0.120
0.174 0.174 0.174
0.224 0.224 0.224
0.274 0.274 0.274
0.320 0.320 0.320
0.426 0.426 0.426
0.474 0.474 0.474
0.524 0.524 0.524
0.574 0.574 0.574
0.627 0.627 0.627
0.674 0.674 0.674
0.720 0.720 0.720
0.824 0.824 0.824
0.874 0.874 0.874
0.924 0.924 0.924
```

=====

(2)
For Sm2Ga5Cu3, a cell relaxed with GGA-PBE gives the calculated powder diffraction line list in this record (CuKα).
Kinematic intensities with the Lorentz-polarization factor, no thermal factor.

Top 10 peaks for 2θ from 10° to 90°, by angle:
Position (°2θ)	Rel. int.
30.0	201
33.8	723
34.9	1000
43.0	596
49.4	283
55.8	340
62.4	190
62.6	137
67.5	218
73.5	239

Atomic structure:
```
Sm2Ga5Cu3
1.0
4.207 0.000 0.000
0.000 4.207 0.000
0.000 0.000 10.266
Sm Ga Cu
2 5 3
Direct
0.000 0.500 0.244
0.500 0.000 0.756
0.000 0.000 0.500
0.000 0.500 0.637
0.000 0.500 0.878
0.500 0.000 0.122
0.500 0.000 0.363
0.000 0.000 0.000
0.500 0.500 0.000
0.500 0.500 0.500
```